# 1
This entry pairs a crystal structure of Lu3ScV4O12 with its theoretical XRD peak list. Radiation: Cu Kα X-rays. Structure: a structure optimized by DFT (GGA+U).

Largest 6 diffraction maxima, by angle, 2θ = 10–80°:
- d = 3.797 Å, 2θ 23.4, I 47
- d = 3.390 Å, 2θ 26.3, I 35
- d = 2.804 Å, 2θ 31.9, I 32
- d = 2.709 Å, 2θ 33.1, I 100
- d = 2.684 Å, 2θ 33.4, I 86
- d = 2.614 Å, 2θ 34.3, I 41

Crystal structure
Lattice parameters (Å, degrees): 5.229 7.606 5.608 90.00 91.11 90.00
Element x y z (fractional)
Lu  0.000  0.000  0.000
Lu  0.053  0.500  0.153
Lu  0.546  0.000  0.508
Sc  0.510  0.500  0.640
V  0.026  0.252  0.578
V  0.026  0.748  0.578
V  0.528  0.252  0.075
V  0.528  0.748  0.075
O  0.159  0.000  0.629
O  0.215  0.316  0.888
O  0.215  0.684  0.888
O  0.342  0.321  0.394
O  0.342  0.679  0.394
O  0.398  0.000  0.131
O  0.657  0.500  0.012
O  0.719  0.183  0.767
O  0.719  0.817  0.767
O  0.841  0.187  0.265
O  0.841  0.813  0.265
O  0.882  0.500  0.523

# 2
This entry pairs a crystal structure of Lu2ScV3O9 with its theoretical XRD peak list. Radiation: Cu Kα X-rays. Structure: a structure optimized by DFT (GGA+U).

Largest 6 diffraction maxima, by angle, 2θ = 10–80°:
- d = 3.818 Å, 2θ 23.3, I 20
- d = 3.411 Å, 2θ 26.1, I 34
- d = 2.692 Å, 2θ 33.3, I 100
- d = 2.604 Å, 2θ 34.4, I 21
- d = 1.715 Å, 2θ 53.4, I 20
- d = 1.520 Å, 2θ 61.0, I 22

Crystal structure
Lattice parameters (Å, degrees): 5.207 22.771 5.614 90.00 90.01 90.00
Element x y z (fractional)
Lu  0.000  0.000  0.000
Lu  0.000  0.334  0.001
Lu  0.000  0.666  0.001
Lu  0.046  0.167  0.144
Lu  0.046  0.833  0.144
Lu  0.547  0.000  0.501
Lu  0.548  0.333  0.502
Lu  0.548  0.667  0.502
Sc  0.042  0.500  0.136
Sc  0.504  0.167  0.640
Sc  0.504  0.833  0.640
Sc  0.505  0.500  0.636
V  0.023  0.418  0.573
V  0.023  0.582  0.573
V  0.024  0.084  0.574
V  0.024  0.249  0.575
V  0.024  0.751  0.575
V  0.024  0.916  0.574
V  0.524  0.084  0.071
V  0.524  0.916  0.071
V  0.525  0.249  0.071
V  0.525  0.418  0.073
V  0.525  0.582  0.073
V  0.525  0.751  0.071
O  0.154  0.000  0.626
O  0.154  0.334  0.628
O  0.154  0.666  0.628
O  0.209  0.441  0.894
O  0.209  0.559  0.894
O  0.213  0.228  0.887
O  0.213  0.772  0.887
O  0.214  0.105  0.887
O  0.214  0.895  0.887
O  0.339  0.107  0.393
O  0.339  0.226  0.394
O  0.339  0.441  0.395
O  0.339  0.559  0.395
O  0.339  0.774  0.394
O  0.339  0.893  0.393
O  0.393  0.000  0.129
O  0.394  0.334  0.129
O  0.394  0.666  0.129
O  0.654  0.167  0.005
O  0.654  0.833  0.005
O  0.668  0.500  0.007
O  0.714  0.395  0.759
O  0.714  0.605  0.759
O  0.715  0.061  0.760
O  0.715  0.272  0.760
O  0.715  0.728  0.760
O  0.715  0.939  0.760
O  0.834  0.395  0.259
O  0.834  0.605  0.259
O  0.835  0.062  0.258
O  0.835  0.938  0.258
O  0.836  0.271  0.258
O  0.836  0.729  0.258
O  0.880  0.167  0.519
O  0.880  0.500  0.507
O  0.880  0.833  0.519

# 3
This entry pairs a crystal structure of LuV2O2 with its theoretical XRD peak list. Radiation: Cu Kα X-rays. Structure: a structure optimized by DFT (GGA+U).

Largest 6 diffraction maxima, by angle, 2θ = 10–80°:
- d = 6.324 Å, 2θ 14.0, I 67
- d = 3.626 Å, 2θ 24.6, I 34
- d = 3.162 Å, 2θ 28.2, I 66
- d = 3.129 Å, 2θ 28.5, I 100
- d = 2.397 Å, 2θ 37.5, I 52
- d = 1.813 Å, 2θ 50.3, I 43

Crystal structure
Lattice parameters (Å, degrees): 7.719 7.719 7.719 110.05 110.05 108.33
Element x y z (fractional)
Lu  0.000  0.000  0.000
Lu  0.000  0.000  0.500
Lu  0.000  0.500  0.000
Lu  0.500  0.000  0.500
V  0.064  0.636  0.429
V  0.293  0.364  0.929
V  0.364  0.293  0.429
V  0.364  0.936  0.071
V  0.636  0.064  0.929
V  0.636  0.707  0.571
V  0.707  0.636  0.071
V  0.936  0.364  0.571
O  0.211  0.310  0.599
O  0.211  0.612  0.901
O  0.310  0.211  0.099
O  0.388  0.789  0.599
O  0.612  0.211  0.401
O  0.690  0.789  0.901
O  0.789  0.388  0.099
O  0.789  0.690  0.401

# 4
This entry pairs a crystal structure of Lu4V4O13 with its theoretical XRD peak list. Radiation: Cu Kα X-rays. Structure: a structure optimized by DFT (GGA+U).

Largest 6 diffraction maxima, by angle, 2θ = 10–80°:
- d = 2.929 Å, 2θ 30.5, I 100
- d = 2.915 Å, 2θ 30.7, I 45
- d = 2.833 Å, 2θ 31.6, I 51
- d = 2.503 Å, 2θ 35.9, I 41
- d = 1.799 Å, 2θ 50.7, I 28
- d = 1.760 Å, 2θ 52.0, I 30

Crystal structure
Lattice parameters (Å, degrees): 7.045 7.045 12.476 107.81 107.81 61.29
Element x y z (fractional)
Lu  0.000  0.000  0.000
Lu  0.233  0.752  0.729
Lu  0.246  0.246  0.756
Lu  0.248  0.767  0.271
Lu  0.500  0.500  0.000
Lu  0.752  0.233  0.729
Lu  0.754  0.754  0.244
Lu  0.767  0.248  0.271
V  0.000  0.000  0.500
V  0.000  0.500  0.000
V  0.000  0.500  0.500
V  0.243  0.243  0.246
V  0.500  0.000  0.000
V  0.500  0.000  0.500
V  0.500  0.500  0.500
V  0.757  0.757  0.754
O  0.062  0.536  0.672
O  0.064  0.455  0.158
O  0.066  0.066  0.678
O  0.078  0.078  0.196
O  0.196  0.196  0.505
O  0.199  0.637  0.536
O  0.203  0.681  0.078
O  0.281  0.281  0.942
O  0.319  0.797  0.922
O  0.363  0.801  0.464
O  0.421  0.421  0.321
O  0.455  0.064  0.158
O  0.464  0.938  0.328
O  0.536  0.062  0.672
O  0.545  0.936  0.842
O  0.579  0.579  0.679
O  0.637  0.199  0.536
O  0.681  0.203  0.078
O  0.719  0.719  0.058
O  0.797  0.319  0.922
O  0.801  0.363  0.464
O  0.804  0.804  0.495
O  0.922  0.922  0.804
O  0.934  0.934  0.322
O  0.936  0.545  0.842
O  0.938  0.464  0.328

# 5
This entry pairs a crystal structure of Lu4V4O13 with its theoretical XRD peak list. Radiation: Cu Kα X-rays. Structure: a structure optimized by DFT (GGA+U).

Largest 6 diffraction maxima, by angle, 2θ = 10–80°:
- d = 5.761 Å, 2θ 15.4, I 32
- d = 3.009 Å, 2θ 29.7, I 21
- d = 2.881 Å, 2θ 31.0, I 100
- d = 2.495 Å, 2θ 36.0, I 31
- d = 1.764 Å, 2θ 51.8, I 47
- d = 1.504 Å, 2θ 61.7, I 41

Crystal structure
Lattice parameters (Å, degrees): 7.056 7.056 7.056 60.00 60.00 60.00
Element x y z (fractional)
Lu  0.123  0.123  0.123
Lu  0.123  0.123  0.630
Lu  0.123  0.630  0.123
Lu  0.630  0.123  0.123
V  0.129  0.624  0.624
V  0.624  0.129  0.624
V  0.624  0.624  0.129
V  0.624  0.624  0.624
O  0.000  0.000  0.000
O  0.286  0.286  0.714
O  0.286  0.714  0.286
O  0.286  0.714  0.714
O  0.534  0.534  0.966
O  0.534  0.966  0.534
O  0.534  0.966  0.966
O  0.714  0.286  0.286
O  0.714  0.286  0.714
O  0.714  0.714  0.286
O  0.966  0.534  0.534
O  0.966  0.534  0.966
O  0.966  0.966  0.534

# 6
This entry pairs a crystal structure of LuWO4 with its theoretical XRD peak list. Radiation: Cu Kα X-rays. Structure: a structure optimized by DFT (GGA+U).

Largest 6 diffraction maxima, by angle, 2θ = 10–80°:
- d = 3.785 Å, 2θ 23.5, I 32
- d = 3.167 Å, 2θ 28.2, I 100
- d = 2.972 Å, 2θ 30.1, I 87
- d = 2.612 Å, 2θ 34.3, I 30
- d = 2.523 Å, 2θ 35.6, I 22
- d = 2.509 Å, 2θ 35.8, I 26

Crystal structure
Lattice parameters (Å, degrees): 5.067 5.723 5.244 90.00 95.13 90.00
Element x y z (fractional)
Lu  0.000  0.198  0.250
Lu  0.000  0.802  0.750
W  0.500  0.325  0.750
W  0.500  0.675  0.250
O  0.234  0.107  0.613
O  0.234  0.893  0.113
O  0.282  0.406  0.042
O  0.282  0.594  0.542
O  0.718  0.406  0.458
O  0.718  0.594  0.958
O  0.766  0.107  0.887
O  0.766  0.893  0.387

# 7
This entry pairs a crystal structure of LuWO4 with its theoretical XRD peak list. Radiation: Cu Kα X-rays. Structure: a structure optimized by DFT (GGA+U).

Largest 6 diffraction maxima, by angle, 2θ = 10–80°:
- d = 3.034 Å, 2θ 29.4, I 100
- d = 2.590 Å, 2θ 34.6, I 23
- d = 1.872 Å, 2θ 48.6, I 30
- d = 1.831 Å, 2θ 49.8, I 15
- d = 1.620 Å, 2θ 56.8, I 16
- d = 1.568 Å, 2θ 58.9, I 29

Crystal structure
Lattice parameters (Å, degrees): 6.539 6.539 6.539 133.34 133.34 68.12
Element x y z (fractional)
Lu  0.375  0.125  0.250
Lu  0.625  0.875  0.750
W  0.125  0.375  0.750
W  0.875  0.625  0.250
O  0.019  0.719  0.810
O  0.219  0.909  0.699
O  0.290  0.481  0.199
O  0.409  0.210  0.690
O  0.591  0.790  0.310
O  0.710  0.519  0.801
O  0.781  0.091  0.301
O  0.981  0.281  0.190